This entry pairs a crystal structure of K2MgU2Se6 with its theoretical XRD peak list. Radiation: a wavelength of 1.5418 Å. Structure: DFT lattice parameters and positions (GGA-PBE).
Neutral-atom scattering factors, no anomalous dispersion.

Largest 10 diffraction maxima, in order of rising 2θ, 10 to 90 degrees two-theta:
d [Å]  two_theta  I (rel.)
7.861  11.3  100
5.455  16.3  17
3.522  25.3  18
3.053  29.3  76
3.039  29.4  36
2.451  36.7  22
2.271  39.7  37
2.054  44.1  26
1.991  45.6  14
1.705  53.8  20

a b c (Å): 7.111 12.358 8.202
angles (deg): 90.00 106.57 90.00
Space group C2/m (No. 12)
Inequivalent atoms, fractional coordinates:
K  0.000  0.165  0.000 [4 per cell]
Mg  0.000  0.000  0.500 [2 per cell]
U  0.000  0.334  0.500 [4 per cell]
Se  0.232  0.167  0.698 [8 per cell]
Se  0.236  0.500  0.696 [4 per cell]

=====

This entry pairs a crystal structure of B7C5 with its theoretical XRD peak list. Radiation: a wavelength of 1.5418 Å. Structure: DFT lattice parameters and positions (GGA-PBE).
Neutral-atom scattering factors, no anomalous dispersion.

Largest 10 diffraction maxima, in order of rising 2θ, 10 to 90 degrees two-theta:
d [Å]  two_theta  I (rel.)
2.946  30.3  29
2.248  40.1  100
2.200  41.0  91
1.372  68.4  22
1.371  68.4  13
1.365  68.8  21
1.328  71.0  13
1.168  82.6  8
1.147  84.4  7
1.140  85.1  7

a b c (Å): 3.836 11.783 3.799
angles (deg): 90.00 91.82 90.00
Space group C2 (No. 5)
Inequivalent atoms, fractional coordinates:
B  0.000  0.000  0.000 [2 per cell]
B  0.000  0.120  0.500 [2 per cell]
B  0.000  0.622  0.000 [2 per cell]
B  0.209  0.374  0.291 [4 per cell]
B  0.244  0.741  0.249 [4 per cell]
C  0.000  0.307  0.000 [2 per cell]
C  0.000  0.474  0.500 [2 per cell]
C  0.000  0.809  0.500 [2 per cell]
C  0.234  0.550  0.734 [4 per cell]

=====

This entry pairs a crystal structure of Nd8Y5Ho with its theoretical XRD peak list. Radiation: a wavelength of 1.5418 Å. Structure: DFT lattice parameters and positions (GGA-PBE).
Neutral-atom scattering factors, no anomalous dispersion.

Largest 10 diffraction maxima, in order of rising 2θ, 10 to 90 degrees two-theta:
d [Å]  two_theta  I (rel.)
4.019  22.1  33
3.244  27.5  87
3.102  28.8  80
3.086  28.9  86
2.868  31.2  28
2.702  33.2  100
2.648  33.8  72
2.618  34.3  68
1.666  55.1  26
1.502  61.7  23

a b c (Å): 9.758 9.758 10.320
angles (deg): 90.00 90.00 90.00
Space group I-4 (No. 82)
Inequivalent atoms, fractional coordinates:
Nd  0.067  0.329  0.094 [8 per cell]
Nd  0.092  0.179  0.753 [8 per cell]
Y  0.000  0.000  0.000 [2 per cell]
Y  0.110  0.203  0.425 [8 per cell]
Ho  0.000  0.500  0.750 [2 per cell]

=====

This entry pairs a crystal structure of Ti3PtC with its theoretical XRD peak list. Radiation: a wavelength of 1.5418 Å. Structure: DFT lattice parameters and positions (GGA-PBE).
Neutral-atom scattering factors, no anomalous dispersion.

Largest 10 diffraction maxima, in order of rising 2θ, 10 to 90 degrees two-theta:
d [Å]  two_theta  I (rel.)
5.670  15.6  74
4.200  21.2  35
3.375  26.4  56
2.409  37.3  100
2.350  38.3  99
2.223  40.6  46
2.121  42.6  28
2.100  43.1  40
1.898  47.9  26
1.526  60.7  27

a b c (Å): 6.039 4.200 5.955
angles (deg): 90.00 110.12 90.00
Space group P2/c (No. 13)
Inequivalent atoms, fractional coordinates:
Ti  0.000  0.000  0.000 [2 per cell]
Ti  0.258  0.498  0.342 [4 per cell]
Pt  0.500  0.003  0.750 [2 per cell]
C  0.000  0.500  0.000 [2 per cell]

=====

This entry pairs a crystal structure of K2AcReN4 with its theoretical XRD peak list. Radiation: a wavelength of 1.5418 Å. Structure: DFT lattice parameters and positions (GGA-PBE).
Neutral-atom scattering factors, no anomalous dispersion.

Largest 10 diffraction maxima, in order of rising 2θ, 10 to 90 degrees two-theta:
d [Å]  two_theta  I (rel.)
5.121  17.3  77
3.174  28.1  100
3.064  29.1  39
2.773  32.3  14
2.629  34.1  24
2.166  41.7  18
2.056  44.1  15
1.856  49.1  23
1.789  51.0  37
1.587  58.1  12

a b c (Å): 6.127 6.127 9.327
angles (deg): 90.00 90.00 90.00
Space group I-4 (No. 82)
Inequivalent atoms, fractional coordinates:
K  0.000  0.000  0.000 [2 per cell]
K  0.000  0.500  0.250 [2 per cell]
Ac  0.000  0.000  0.500 [2 per cell]
Re  0.000  0.500  0.750 [2 per cell]
N  0.153  0.302  0.640 [8 per cell]

=====

This entry pairs a crystal structure of Ba3In2P4O16 with its theoretical XRD peak list. Radiation: a wavelength of 1.5418 Å. Structure: DFT lattice parameters and positions (GGA-PBE).
Neutral-atom scattering factors, no anomalous dispersion.

Largest 10 diffraction maxima, in order of rising 2θ, 10 to 90 degrees two-theta:
d [Å]  two_theta  I (rel.)
4.193  21.2  41
4.152  21.4  27
3.468  25.7  24
3.325  26.8  89
3.053  29.3  100
3.019  29.6  30
2.946  30.3  55
2.861  31.3  31
2.105  43.0  24
2.030  44.6  28

a b c (Å): 9.050 9.828 9.307
angles (deg): 90.00 115.53 90.00
Space group P2_1/c (No. 14)
Inequivalent atoms, fractional coordinates:
Ba  0.000  0.000  0.000 [2 per cell]
Ba  0.266  0.169  0.448 [4 per cell]
In  0.259  0.629  0.262 [4 per cell]
P  0.035  0.637  0.857 [4 per cell]
P  0.414  0.583  0.685 [4 per cell]
O  0.043  0.501  0.225 [4 per cell]
O  0.081  0.708  0.731 [4 per cell]
O  0.087  0.228  0.614 [4 per cell]
O  0.191  0.598  0.009 [4 per cell]
O  0.299  0.614  0.508 [4 per cell]
O  0.336  0.033  0.240 [4 per cell]
O  0.408  0.050  0.791 [4 per cell]
O  0.437  0.714  0.791 [4 per cell]

=====

What is the formula in the fourth record? Ti3PtC